# ErFe5Ge2
Simulated X-ray powder pattern, Cu Kα, 1.54184 Å. Input: a DFT-relaxed cell (GGA-PBE, Alexandria).

Structural model:
Unit cell a=6.127 b=6.127 c=6.127 alpha=146.69 beta=109.95 gamma=79.81
Fractional coordinates of all 8 atoms:
1 Er 0.000 0.000 0.000
2 Fe 0.180 0.362 0.817
3 Fe 0.455 0.638 0.817
4 Fe 0.500 0.000 0.500
5 Fe 0.545 0.362 0.183
6 Fe 0.820 0.638 0.183
7 Ge 0.240 0.740 0.500
8 Ge 0.760 0.260 0.500

Largest 10 diffraction maxima, in order of falling intensity, 10° ≤ 2θ ≤ 90°:
37.43°, d = 2.403 Å, I 100; 38.50°, d = 2.338 Å, I 95; 46.49°, d = 1.953 Å, I 90; 34.33°, d = 2.612 Å, I 73; 52.06°, d = 1.757 Å, I 46; 72.34°, d = 1.306 Å, I 38; 50.68°, d = 1.801 Å, I 36; 25.33°, d = 3.517 Å, I 33; 39.62°, d = 2.275 Å, I 29; 31.25°, d = 2.862 Å, I 21